The following is a simulated XRD peak list of SrCo2Ir2O7. It was derived from DFT lattice parameters and positions (GGA+U), using Cu Kα (weighted mean of Kα1 and Kα2).
Neutral-atom scattering factors, no anomalous dispersion.

Atomic structure:
```
SrCo2Ir2O7
1.0
-1.951 9.024 2.069
1.951 -9.024 2.069
1.951 9.024 -2.069
Sr Co Ir O
1 2 2 7
direct
0.000 0.000 0.000
0.248 0.512 0.736
0.777 0.512 0.264
0.399 0.007 0.392
0.614 0.007 0.608
0.139 0.514 0.625
0.302 0.026 0.276
0.378 0.878 0.500
0.420 0.522 0.898
0.625 0.522 0.102
0.750 0.026 0.724
0.889 0.514 0.375
```

The 10 most intense peaks (2θ = 5–70°), low angle first:
d/Å	two_theta	Rel. int.
4.033	22.0	54
3.814	23.3	58
3.274	27.2	64
2.839	31.5	49
2.720	32.9	100
2.708	33.1	59
2.650	33.8	49
2.403	37.4	46
2.069	43.8	46
1.524	60.8	53